[1]
Pr6GeRh3: theoretical powder diffraction line list (Cu Ka), based on a DFT-relaxed cell (PBE, Alexandria).
Neutral-atom scattering factors, no anomalous dispersion.

Top 10 peaks for 10° ≤ 2θ ≤ 80°, by angle:
two_theta, Rel. int., h k l
26.05, 46, 0 1 2
28.71, 40, 1 1 2
28.91, 92, 2 1 1
30.09, 99, 2 0 -4
30.49, 46, 4 0 -1
30.87, 51, 4 0 -2
31.97, 82, 3 1 0
39.55, 56, 4 1 -3
42.55, 100, 0 2 0
52.99, 54, 2 2 -4

Atomic structure:
Lattice parameters (Å, degrees): 11.7683 4.2483 12.1418 90.00 108.42 90.00
Sites, in units of the cell vectors:
Pr1 0.0309 0.2500 0.3898
Pr2 0.1060 0.2500 0.9405
Pr3 0.2303 0.7500 0.2695
Pr4 0.3018 0.7500 0.7618
Pr5 0.3768 0.2500 0.5384
Pr6 0.4230 0.7500 0.0998
Pr7 0.5770 0.2500 0.9002
Pr8 0.6232 0.7500 0.4616
Pr9 0.6982 0.2500 0.2382
Pr10 0.7697 0.2500 0.7305
Pr11 0.8940 0.7500 0.0595
Pr12 0.9691 0.7500 0.6102
Ge1 0.4528 0.2500 0.3092
Ge2 0.5472 0.7500 0.6908
Rh1 0.0583 0.2500 0.1644
Rh2 0.1850 0.7500 0.5014
Rh3 0.3462 0.2500 0.9225
Rh4 0.6538 0.7500 0.0775
Rh5 0.8150 0.2500 0.4986
Rh6 0.9417 0.7500 0.8356

[2]
PrGe4Rh4: theoretical powder diffraction line list (Cu Ka), based on a DFT-relaxed cell (PBE, Alexandria).
Neutral-atom scattering factors, no anomalous dispersion.

Top 10 peaks for 10° ≤ 2θ ≤ 80°, by angle:
two_theta, Rel. int., h k l
29.79, 17, 1 1 2
34.30, 100, 2 1 1
35.68, 44, 1 0 3
41.45, 28, 2 2 0
44.08, 19, 2 0 3
46.61, 20, 3 1 0
47.15, 12, 2 2 2
55.82, 30, 3 0 3
60.06, 19, 4 0 0
61.87, 24, 2 2 4

Atomic structure:
Lattice parameters (Å, degrees): 6.1620 6.1620 8.2690 90.00 90.00 90.00
Sites, in units of the cell vectors:
Pr1 0.2500 0.7500 0.2500
Pr2 0.7500 0.2500 0.7500
Ge1 0.0412 0.2500 0.0753
Ge2 0.2500 0.0412 0.5753
Ge3 0.2500 0.4588 0.5753
Ge4 0.4588 0.2500 0.0753
Ge5 0.5412 0.7500 0.9247
Ge6 0.7500 0.5412 0.4247
Ge7 0.7500 0.9588 0.4247
Ge8 0.9588 0.7500 0.9247
Rh1 0.0204 0.2500 0.3742
Rh2 0.2500 0.0204 0.8742
Rh3 0.2500 0.4796 0.8742
Rh4 0.4796 0.2500 0.3742
Rh5 0.5204 0.7500 0.6258
Rh6 0.7500 0.5204 0.1258
Rh7 0.7500 0.9796 0.1258
Rh8 0.9796 0.7500 0.6258

Q: What is the formula in the first record?
A: Pr6GeRh3

Copy entry 2 word for word.
PrGe4Rh4: theoretical powder diffraction line list (Cu Ka), based on a DFT-relaxed cell (PBE, Alexandria).
Neutral-atom scattering factors, no anomalous dispersion.

Top 10 peaks for 10° ≤ 2θ ≤ 80°, by angle:
two_theta, Rel. int., h k l
29.79, 17, 1 1 2
34.30, 100, 2 1 1
35.68, 44, 1 0 3
41.45, 28, 2 2 0
44.08, 19, 2 0 3
46.61, 20, 3 1 0
47.15, 12, 2 2 2
55.82, 30, 3 0 3
60.06, 19, 4 0 0
61.87, 24, 2 2 4

Atomic structure:
Lattice parameters (Å, degrees): 6.1620 6.1620 8.2690 90.00 90.00 90.00
Sites, in units of the cell vectors:
Pr1 0.2500 0.7500 0.2500
Pr2 0.7500 0.2500 0.7500
Ge1 0.0412 0.2500 0.0753
Ge2 0.2500 0.0412 0.5753
Ge3 0.2500 0.4588 0.5753
Ge4 0.4588 0.2500 0.0753
Ge5 0.5412 0.7500 0.9247
Ge6 0.7500 0.5412 0.4247
Ge7 0.7500 0.9588 0.4247
Ge8 0.9588 0.7500 0.9247
Rh1 0.0204 0.2500 0.3742
Rh2 0.2500 0.0204 0.8742
Rh3 0.2500 0.4796 0.8742
Rh4 0.4796 0.2500 0.3742
Rh5 0.5204 0.7500 0.6258
Rh6 0.7500 0.5204 0.1258
Rh7 0.7500 0.9796 0.1258
Rh8 0.9796 0.7500 0.6258

Repeat the second record exactly.
PrGe4Rh4: theoretical powder diffraction line list (Cu Ka), based on a DFT-relaxed cell (PBE, Alexandria).
Neutral-atom scattering factors, no anomalous dispersion.

Top 10 peaks for 10° ≤ 2θ ≤ 80°, by angle:
two_theta, Rel. int., h k l
29.79, 17, 1 1 2
34.30, 100, 2 1 1
35.68, 44, 1 0 3
41.45, 28, 2 2 0
44.08, 19, 2 0 3
46.61, 20, 3 1 0
47.15, 12, 2 2 2
55.82, 30, 3 0 3
60.06, 19, 4 0 0
61.87, 24, 2 2 4

Atomic structure:
Lattice parameters (Å, degrees): 6.1620 6.1620 8.2690 90.00 90.00 90.00
Sites, in units of the cell vectors:
Pr1 0.2500 0.7500 0.2500
Pr2 0.7500 0.2500 0.7500
Ge1 0.0412 0.2500 0.0753
Ge2 0.2500 0.0412 0.5753
Ge3 0.2500 0.4588 0.5753
Ge4 0.4588 0.2500 0.0753
Ge5 0.5412 0.7500 0.9247
Ge6 0.7500 0.5412 0.4247
Ge7 0.7500 0.9588 0.4247
Ge8 0.9588 0.7500 0.9247
Rh1 0.0204 0.2500 0.3742
Rh2 0.2500 0.0204 0.8742
Rh3 0.2500 0.4796 0.8742
Rh4 0.4796 0.2500 0.3742
Rh5 0.5204 0.7500 0.6258
Rh6 0.7500 0.5204 0.1258
Rh7 0.7500 0.9796 0.1258
Rh8 0.9796 0.7500 0.6258